Computed powder diffraction line list
Compound: Ag5Pd2Cl12
Radiation: Cu Kα (λ = 1.5418 Å)
Structure: DFT lattice parameters and positions (GGA-PBE)
Neutral-atom scattering factors, no anomalous dispersion.

Cell and atoms:
```
Ag5Pd2Cl12
1.0
7.0879 -3.7126 0.0000
7.0879 3.7126 0.0000
-2.3415 0.0000 9.0424
Ag Pd Cl
5 2 12
Direct
0.0000 0.0000 0.0000
0.2597 0.2597 0.0107
0.2714 0.2714 0.5542
0.7286 0.7286 0.4458
0.7403 0.7403 0.9893
0.2489 0.7511 0.5000
0.7511 0.2489 0.5000
0.0341 0.0341 0.3399
0.0880 0.5830 0.3696
0.1068 0.6246 0.9592
0.3754 0.8932 0.0408
0.4170 0.9120 0.6304
0.4658 0.4658 0.6612
0.5342 0.5342 0.3388
0.5830 0.0880 0.3696
0.6246 0.1068 0.9592
0.8932 0.3754 0.0408
0.9120 0.4170 0.6304
0.9659 0.9659 0.6601
```

Main lines, in order of falling intensity (10° ≤ 2θ ≤ 90°):
2θ (°), d (Å), Rel. int.
19.6, 4.521, 100
31.8, 2.811, 67
26.0, 3.432, 39
35.6, 2.520, 27
46.7, 1.946, 25
49.1, 1.856, 22

***

Computed powder diffraction line list
Compound: Ag4PdCl6
Radiation: Cu Kα (λ = 1.5418 Å)
Structure: DFT lattice parameters and positions (GGA-PBE)
Neutral-atom scattering factors, no anomalous dispersion.

Cell and atoms:
```
Ag4PdCl6
1.0
6.4001 -3.6308 0.0000
6.4001 3.6308 0.0000
-2.6173 0.0000 12.7021
Ag Pd Cl
8 2 12
Direct
0.0867 0.9133 0.5000
0.1777 0.4168 0.1624
0.4168 0.1777 0.6624
0.5168 0.7579 0.0904
0.5282 0.8837 0.3243
0.7579 0.5168 0.5904
0.8837 0.5282 0.8243
0.9133 0.0867 0.0000
0.1453 0.6896 0.7500
0.6896 0.1453 0.2500
0.0600 0.6229 0.5694
0.0646 0.1952 0.6931
0.1952 0.0646 0.1931
0.2338 0.7379 0.9304
0.4625 0.8664 0.5089
0.4791 0.5055 0.2237
0.5055 0.4791 0.7237
0.6229 0.0600 0.0694
0.7379 0.2338 0.4304
0.7834 0.9024 0.7811
0.8664 0.4625 0.0089
0.9024 0.7834 0.2811
```

Main lines, in order of falling intensity (10° ≤ 2θ ≤ 90°):
2θ (°), d (Å), Rel. int.
25.5, 3.491, 100
24.3, 3.656, 100
17.8, 4.994, 76
16.4, 5.419, 72
32.9, 2.725, 71
39.6, 2.276, 65

***

Computed powder diffraction line list
Compound: PmTlAgCl5
Radiation: Cu Kα (λ = 1.5418 Å)
Structure: DFT lattice parameters and positions (GGA-PBE)
Neutral-atom scattering factors, no anomalous dispersion.

Cell and atoms:
```
PmTlAgCl5
1.0
4.4530 -6.3112 0.0000
4.4530 6.3112 0.0000
-3.8797 0.0000 9.5590
Pm Tl Ag Cl
2 2 2 10
Direct
0.0000 0.0000 0.0000
0.0000 0.0000 0.5000
0.3509 0.6491 0.7500
0.6491 0.3509 0.2500
0.3113 0.6887 0.2500
0.6887 0.3113 0.7500
0.0774 0.9226 0.7500
0.0825 0.6914 0.3985
0.2601 0.3698 0.0639
0.3086 0.9175 0.1015
0.3698 0.2601 0.5639
0.6302 0.7399 0.4361
0.6914 0.0825 0.8985
0.7399 0.6302 0.9361
0.9175 0.3086 0.6015
0.9226 0.0774 0.2500
```

Main lines, in order of falling intensity (10° ≤ 2θ ≤ 90°):
2θ (°), d (Å), Rel. int.
19.0, 4.679, 100
23.7, 3.748, 80
21.5, 4.126, 74
23.3, 3.810, 49
39.1, 2.302, 39
41.2, 2.192, 32

***

Computed powder diffraction line list
Compound: AgPt2Cl
Radiation: Cu Kα (λ = 1.5418 Å)
Structure: DFT lattice parameters and positions (GGA-PBE)
Neutral-atom scattering factors, no anomalous dispersion.

Cell and atoms:
```
AgPt2Cl
1.0
1.6168 0.9334 7.9998
-1.6168 0.9334 7.9998
0.0000 -1.8669 7.9998
Ag Pt Cl
1 2 1
Direct
0.0000 0.0000 0.0000
0.2464 0.2464 0.2464
0.5049 0.5049 0.5049
0.7589 0.7589 0.7589
```

Main lines, in order of falling intensity (10° ≤ 2θ ≤ 90°):
2θ (°), d (Å), Rel. int.
35.4, 2.538, 100
11.1, 8.000, 68
44.2, 2.047, 52
57.0, 1.617, 25
75.6, 1.257, 20
45.3, 2.000, 15

***

Computed powder diffraction line list
Compound: AgPtCl
Radiation: Cu Kα (λ = 1.5418 Å)
Structure: DFT lattice parameters and positions (GGA-PBE)
Neutral-atom scattering factors, no anomalous dispersion.

Cell and atoms:
```
AgPtCl
1.0
0.0000 2.6678 6.4623
1.5626 0.0000 6.4623
1.5626 2.6678 0.0000
Ag Pt Cl
1 1 1
Direct
0.0000 0.0000 0.0000
0.3285 0.3285 0.6715
0.6709 0.6709 0.3291
```

Main lines, in order of falling intensity (10° ≤ 2θ ≤ 90°):
2θ (°), d (Å), Rel. int.
39.4, 2.286, 100
13.7, 6.462, 45
33.6, 2.668, 39
34.0, 2.640, 25
64.0, 1.455, 23
41.9, 2.154, 21

***

Computed powder diffraction line list
Compound: Ag3PtCl8
Radiation: Cu Kα (λ = 1.5418 Å)
Structure: DFT lattice parameters and positions (GGA-PBE)
Neutral-atom scattering factors, no anomalous dispersion.

Cell and atoms:
```
Ag3PtCl8
1.0
3.5660 -5.7198 0.0000
3.5660 5.7198 0.0000
0.0000 0.0000 7.8209
Ag Pt Cl
3 1 8
Direct
0.0000 0.0000 0.0000
0.0000 0.5000 0.7633
0.5000 0.0000 0.2367
0.0000 0.0000 0.5000
0.2054 0.7946 0.5000
0.2220 0.7780 0.0000
0.2336 0.2387 0.7091
0.2387 0.2336 0.2909
0.7613 0.7664 0.2909
0.7664 0.7613 0.7091
0.7780 0.2220 0.0000
0.7946 0.2054 0.5000
```

Main lines, in order of falling intensity (10° ≤ 2θ ≤ 90°):
2θ (°), d (Å), Rel. int.
14.6, 6.052, 100
34.0, 2.635, 66
18.5, 4.786, 57
46.9, 1.938, 44
27.1, 3.284, 41
31.3, 2.860, 38